For NaTeO6, DFT lattice parameters and positions (GGA-PBE) gives the calculated PXRD pattern in this record (Cu Kα (λ = 1.5418 Å)).
Intensities are scaled so that the largest is 100.

Cell and atoms:
```
NaTeO6
1.0
0.0000 4.3006 4.3006
4.3006 0.0000 4.3006
4.3006 4.3006 0.0000
Na Te O
1 1 6
Cartesian
0.0000 0.0000 0.0000
4.3006 4.3006 4.3006
4.3006 4.3006 2.3712
4.3006 2.3712 4.3006
6.2299 4.3006 4.3006
2.3712 4.3006 4.3006
4.3006 6.2299 4.3006
4.3006 4.3006 6.2299
```

Top 10 peaks for 5° ≤ 2θ ≤ 70°, sorted by position:
| 2θ (°) | d/Å | I_rel |
| --- | --- | --- |
| 17.9 | 4.966 | 73 |
| 20.7 | 4.301 | 100 |
| 29.4 | 3.041 | 33 |
| 34.6 | 2.593 | 27 |
| 42.0 | 2.150 | 25 |
| 47.3 | 1.923 | 38 |
| 52.1 | 1.756 | 13 |
| 55.5 | 1.655 | 14 |
| 60.9 | 1.520 | 14 |
| 65.1 | 1.434 | 17 |

For Na2TeO4, DFT lattice parameters and positions (GGA-PBE) gives the calculated PXRD pattern in this record (Cu Kα (λ = 1.5418 Å)).
Intensities are scaled so that the largest is 100.

Cell and atoms:
```
Na2TeO4
1.0
10.7948 0.0000 0.0000
0.0000 5.2507 0.0000
-3.2829 0.0000 13.6839
Na Te O
16 8 32
Cartesian
-0.1312 0.5765 2.5279
-1.7726 2.0488 9.3698
-0.3572 3.9163 7.3144
1.2843 3.9597 0.4724
3.1972 1.2448 2.6920
1.5558 1.3806 9.5339
4.3479 3.9278 1.3588
2.7065 3.9482 8.2008
4.8054 1.3024 5.4831
3.1639 1.3229 12.3251
5.9561 3.8701 4.1500
4.3147 4.0059 10.9919
6.2276 1.2910 13.2115
7.8691 1.3343 6.3695
9.2845 3.2018 4.3141
7.6431 4.6742 11.1560
1.0170 1.1761 5.7847
-0.6244 1.4493 12.6266
2.0978 3.8027 4.3346
0.4563 4.0733 11.1765
7.0556 1.1773 2.5074
5.4141 1.4480 9.3493
8.1363 3.8014 1.0573
6.4949 4.0746 7.8992
-2.3496 0.7824 12.8902
-0.7081 1.8429 6.0483
-1.3157 3.1330 11.7153
0.3257 4.7430 4.8734
-0.5949 0.4963 10.7696
1.0466 2.1290 3.9276
0.2720 3.3449 9.4547
1.9135 4.5311 2.6128
1.2237 0.4391 7.4831
2.8652 2.1862 0.6411
1.9967 2.8760 6.1802
0.3552 5.0000 13.0221
2.7472 0.2493 5.1727
1.1058 2.3761 12.0147
3.7931 3.0658 4.0530
2.1517 4.8102 10.8949
5.3602 0.4405 2.7890
3.7188 2.1848 9.6309
6.4061 2.8746 1.6692
4.7647 5.0014 8.5112
7.1566 0.2507 0.6618
5.5152 2.3746 7.5037
4.6467 3.0644 13.0428
6.2882 4.8116 6.2008
5.5984 0.7196 11.0711
7.2399 1.9058 4.2292
6.4653 3.1216 9.7563
8.1068 4.7544 2.9143
7.1861 0.5077 8.8105
8.8276 2.1176 1.9686
8.2200 3.4078 7.6356
9.8615 4.4682 0.7937
```

Top 10 peaks for 5° ≤ 2θ ≤ 70°, sorted by position:
| 2θ (°) | d/Å | I_rel |
| --- | --- | --- |
| 13.7 | 6.463 | 60 |
| 16.9 | 5.248 | 100 |
| 17.0 | 5.203 | 96 |
| 21.8 | 4.075 | 50 |
| 31.0 | 2.889 | 73 |
| 31.2 | 2.866 | 75 |
| 32.5 | 2.752 | 27 |
| 38.4 | 2.346 | 41 |
| 45.5 | 1.992 | 26 |
| 47.0 | 1.933 | 29 |

For Na2TeO5, DFT lattice parameters and positions (GGA-PBE) gives the calculated PXRD pattern in this record (Cu Kα (λ = 1.5418 Å)).
Intensities are scaled so that the largest is 100.

Cell and atoms:
```
Na2TeO5
1.0
3.3097 -5.4113 0.0000
3.3097 5.4113 0.0000
0.0000 0.0000 9.2058
Na Te O
4 2 10
Cartesian
0.0000 0.0000 0.0000
0.0000 0.0000 4.6029
3.3097 1.1753 6.9043
3.3097 -1.1753 2.3014
3.3097 3.0021 2.3014
3.3097 -3.0021 6.9043
1.3498 1.5685 5.7576
1.3498 1.5685 8.0510
3.3097 4.7444 6.9043
1.3498 -1.5685 1.1548
1.3498 -1.5685 3.4481
5.2695 1.5685 5.7576
5.2695 1.5685 8.0510
3.3097 -4.7444 2.3014
5.2695 -1.5685 1.1548
5.2695 -1.5685 3.4481
```

Top 10 peaks for 5° ≤ 2θ ≤ 70°, sorted by position:
| 2θ (°) | d/Å | I_rel |
| --- | --- | --- |
| 15.7 | 5.647 | 19 |
| 16.4 | 5.411 | 22 |
| 18.4 | 4.813 | 100 |
| 19.0 | 4.665 | 41 |
| 19.3 | 4.603 | 37 |
| 25.4 | 3.506 | 28 |
| 29.8 | 2.995 | 48 |
| 33.3 | 2.687 | 18 |
| 37.4 | 2.407 | 21 |
| 40.9 | 2.204 | 23 |

For Na2TeO5, DFT lattice parameters and positions (GGA-PBE) gives the calculated PXRD pattern in this record (Cu Kα (λ = 1.5418 Å)).
Intensities are scaled so that the largest is 100.

Cell and atoms:
```
Na2TeO5
1.0
3.2030 -5.3826 0.0000
3.2030 5.3826 0.0000
0.0000 0.0000 8.0300
Na Te O
4 2 10
Cartesian
0.0000 0.0000 0.0000
0.0000 0.0000 4.0150
3.2030 1.5200 6.0225
3.2030 -1.5200 2.0075
3.2030 2.8715 2.0075
3.2030 -2.8715 6.0225
1.4793 2.1041 4.4636
1.4793 2.1041 7.5814
3.2030 4.7287 2.0075
1.4793 -2.1041 0.4486
1.4793 -2.1041 3.5664
4.9267 2.1041 4.4636
4.9267 2.1041 7.5814
3.2030 -4.7287 6.0225
4.9267 -2.1041 0.4486
4.9267 -2.1041 3.5664
```

Top 10 peaks for 5° ≤ 2θ ≤ 70°, sorted by position:
| 2θ (°) | d/Å | I_rel |
| --- | --- | --- |
| 16.5 | 5.383 | 61 |
| 19.6 | 4.540 | 100 |
| 19.9 | 4.471 | 23 |
| 27.7 | 3.218 | 15 |
| 27.9 | 3.203 | 12 |
| 30.7 | 2.917 | 33 |
| 35.9 | 2.504 | 30 |
| 37.4 | 2.407 | 16 |
| 39.7 | 2.270 | 38 |
| 45.9 | 1.978 | 17 |

For Na2TeO4, DFT lattice parameters and positions (GGA-PBE) gives the calculated PXRD pattern in this record (Cu Kα (λ = 1.5418 Å)).
Intensities are scaled so that the largest is 100.

Cell and atoms:
```
Na2TeO4
1.0
5.8419 0.0000 0.0000
0.0000 12.3675 0.0000
0.0000 0.0000 5.2916
Na Te O
8 4 16
Cartesian
0.0000 1.7104 1.3229
0.0000 3.3896 3.9687
0.0000 8.9779 1.3229
0.0000 10.6571 3.9687
2.9209 2.7942 1.3229
2.9209 4.4733 3.9687
2.9209 7.8941 1.3229
2.9209 9.5733 3.9687
0.0000 5.2970 1.3229
0.0000 7.0705 3.9687
2.9209 0.8867 3.9687
2.9209 11.4808 1.3229
1.0476 5.5623 3.0210
1.0476 6.8051 0.3752
1.1779 4.0327 0.5945
1.1779 8.3347 3.2403
1.7430 2.1510 3.2403
1.7430 10.2165 0.5945
1.8734 0.6214 0.3752
1.8734 11.7461 3.0210
3.9685 0.6214 2.2706
3.9685 11.7461 4.9164
4.0989 2.1510 4.6971
4.0989 10.2165 2.0513
4.6639 4.0327 2.0513
4.6639 8.3347 4.6971
4.7943 5.5623 4.9164
4.7943 6.8051 2.2706
```

Top 10 peaks for 5° ≤ 2θ ≤ 70°, sorted by position:
| 2θ (°) | d/Å | I_rel |
| --- | --- | --- |
| 14.3 | 6.184 | 16 |
| 16.8 | 5.282 | 100 |
| 22.1 | 4.020 | 21 |
| 23.8 | 3.738 | 17 |
| 31.5 | 2.841 | 67 |
| 33.9 | 2.645 | 16 |
| 38.0 | 2.365 | 20 |
| 46.1 | 1.971 | 28 |
| 46.3 | 1.961 | 18 |
| 55.0 | 1.671 | 18 |

For NaTeO3, DFT lattice parameters and positions (GGA-PBE) gives the calculated PXRD pattern in this record (Cu Kα (λ = 1.5418 Å)).
Intensities are scaled so that the largest is 100.

Cell and atoms:
```
NaTeO3
1.0
4.0664 0.0000 0.0000
0.0000 4.0664 0.0000
0.0000 0.0000 4.0664
Na Te O
1 1 3
Cartesian
0.0000 0.0000 0.0000
2.0332 2.0332 2.0332
0.0000 2.0332 2.0332
2.0332 0.0000 2.0332
2.0332 2.0332 0.0000
```

Top 8 peaks for 5° ≤ 2θ ≤ 70°, sorted by position:
| 2θ (°) | d/Å | I_rel |
| --- | --- | --- |
| 21.9 | 4.066 | 97 |
| 31.1 | 2.875 | 100 |
| 38.3 | 2.348 | 6 |
| 44.6 | 2.033 | 40 |
| 50.2 | 1.819 | 40 |
| 55.3 | 1.660 | 40 |
| 64.9 | 1.438 | 24 |
| 69.3 | 1.355 | 18 |

For Na4TeO5, DFT lattice parameters and positions (GGA-PBE) gives the calculated PXRD pattern in this record (Cu Kα (λ = 1.5418 Å)).
Intensities are scaled so that the largest is 100.

Cell and atoms:
```
Na4TeO5
1.0
5.7703 0.0000 0.0000
-1.2615 5.6709 0.0000
-1.7267 -3.2168 7.8170
Na Te O
8 2 10
Cartesian
0.0000 0.0000 0.0000
-0.9647 -1.0899 5.4589
-0.0177 0.9593 3.1317
0.7605 2.9984 0.7812
2.0218 -1.6084 3.9085
2.0216 -0.5443 7.0358
2.7998 1.4948 4.6853
3.7468 3.5439 2.3582
-0.1048 1.9931 6.2315
2.8869 0.4610 1.5856
-1.6494 0.8641 6.6106
-0.9867 2.7533 4.6832
1.3352 -0.6811 1.8754
0.3672 -2.2191 7.5191
0.7750 0.5133 5.3742
2.0071 1.9408 2.4428
2.4149 4.6732 0.2979
1.4469 3.1351 5.9416
3.7688 -0.2992 3.1338
4.4315 1.5900 1.2064
```

Top 10 peaks for 5° ≤ 2θ ≤ 70°, sorted by position:
| 2θ (°) | d/Å | I_rel |
| --- | --- | --- |
| 16.4 | 5.402 | 100 |
| 17.0 | 5.201 | 34 |
| 19.7 | 4.501 | 27 |
| 22.0 | 4.049 | 17 |
| 22.8 | 3.909 | 19 |
| 32.4 | 2.760 | 18 |
| 33.6 | 2.671 | 17 |
| 37.8 | 2.379 | 44 |
| 38.5 | 2.341 | 43 |
| 39.3 | 2.294 | 40 |

For Na2UTe2O10, DFT lattice parameters and positions (GGA-PBE) gives the calculated PXRD pattern in this record (Cu Kα (λ = 1.5418 Å)).
Intensities are scaled so that the largest is 100.

Cell and atoms:
```
Na2UTe2O10
1.0
6.4750 -1.9674 0.0000
6.4750 1.9674 0.0000
-0.2430 0.0000 8.6048
Na U Te O
2 1 2 10
Cartesian
0.0000 0.0000 0.0000
7.2142 0.0000 3.7143
3.6053 0.0000 1.8817
9.0126 0.0000 7.4382
10.8745 0.0000 4.9254
1.7766 0.0000 2.1491
2.7441 0.0000 7.8397
4.1738 0.0000 4.5169
5.4316 0.0000 1.6370
7.2129 0.0000 7.7673
8.9134 0.0000 5.4733
9.9868 0.0000 0.6482
10.1582 0.0000 3.1072
10.9698 0.0000 6.8915
12.6773 0.0000 4.6117
```

Top 10 peaks for 5° ≤ 2θ ≤ 70°, sorted by position:
| 2θ (°) | d/Å | I_rel |
| --- | --- | --- |
| 13.7 | 6.472 | 100 |
| 16.9 | 5.244 | 30 |
| 25.2 | 3.537 | 29 |
| 25.8 | 3.460 | 33 |
| 25.9 | 3.439 | 58 |
| 29.2 | 3.058 | 26 |
| 31.2 | 2.868 | 23 |
| 31.4 | 2.845 | 30 |
| 32.7 | 2.739 | 24 |
| 48.9 | 1.861 | 20 |